Record 1
C: computed X-ray diffraction stick pattern (copper Kα), based on a structure optimized by DFT (GGA-PBE).

Peak list (8 most intense, 2θ from 15° to 90°, by angle)
Position (°2θ)  I/Imax
22.28  100
42.28  3
43.85  10
45.46  8
48.30  3
55.12  4
78.41  4
87.05  3

Atomic structure:
abc: 2.468 4.275 7.980
angles: 90.00 90.00 90.00
Fractional positions:
C1 0.000 0.167 0.000
C2 0.000 0.333 0.500
C3 0.000 0.667 0.500
C4 0.000 0.833 0.000
C5 0.500 0.167 0.500
C6 0.500 0.333 0.000
C7 0.500 0.667 0.000
C8 0.500 0.833 0.500

Record 2
C: computed X-ray diffraction stick pattern (copper Kα), based on a structure optimized by DFT (GGA-PBE).

Peak list (8 most intense, 2θ from 15° to 90°, by angle)
Position (°2θ)  I/Imax
41.78  47
43.03  100
43.65  91
43.95  43
46.34  43
72.11  20
75.41  68
81.02  25

Atomic structure:
abc: 10.471 10.471 10.471
angles: 13.83 13.83 13.83
Fractional positions:
C1 0.025 0.025 0.025
C2 0.109 0.109 0.109
C3 0.158 0.158 0.158
C4 0.375 0.375 0.375
C5 0.425 0.425 0.425
C6 0.575 0.575 0.575
C7 0.625 0.625 0.625
C8 0.842 0.842 0.842
C9 0.891 0.891 0.891
C10 0.975 0.975 0.975

Record 3
C: computed X-ray diffraction stick pattern (copper Kα), based on a structure optimized by DFT (GGA-PBE).

Peak list (8 most intense, 2θ from 15° to 90°, by angle)
Position (°2θ)  I/Imax
20.45  100
41.59  9
43.62  9
47.41  2
53.28  4
64.36  2
77.34  3
81.01  5

Atomic structure:
abc: 2.468 2.468 8.685
angles: 90.00 90.00 120.00
Fractional positions:
C1 0.000 0.000 0.250
C2 0.000 0.000 0.750
C3 0.333 0.667 0.250
C4 0.667 0.333 0.750